Simulated powder diffractogram
Compound: Ce3Nd2O9
Radiation: CuKα
Structure: DFT lattice parameters and positions (PBE)
Intensities are scaled so that the largest is 100.

Most intense lines, 2θ from 5° to 70°, in order of falling intensity:
2θ (°)  d_spacing  intensity
27.94  3.193  100
46.36  1.959  33
55.21  1.664  30
32.48  2.757  21
46.59  1.949  18
54.78  1.676  13
32.16  2.784  11
57.74  1.597  9

a = 14.1887 Å, b = 14.1887 Å, c = 14.1887 Å
α = 164.21°, β = 164.21°, γ = 22.41°
Fractional positions:
Ce  0.0000  0.0000  0.0000
Ce  0.4022  0.4022  0.0000
Ce  0.5978  0.5978  0.0000
Nd  0.1928  0.1928  0.0000
Nd  0.8072  0.8072  0.0000
O  0.0527  0.5527  0.5000
O  0.1528  0.6528  0.5000
O  0.3472  0.8472  0.5000
O  0.4473  0.9473  0.5000
O  0.5452  0.0452  0.5000
O  0.6417  0.1417  0.5000
O  0.7500  0.2500  0.5000
O  0.8583  0.3583  0.5000
O  0.9548  0.4548  0.5000

---

Simulated powder diffractogram
Compound: Li4AgHg
Radiation: CuKα
Structure: DFT lattice parameters and positions (PBE)
Intensities are scaled so that the largest is 100.

Most intense lines, 2θ from 5° to 70°, in order of falling intensity:
2θ (°)  d_spacing  intensity
21.58  4.119  100
22.93  3.878  42
32.45  2.759  41
42.75  2.115  39
35.58  2.524  26
39.48  2.282  25
50.01  1.824  24
36.99  2.430  15

a = 4.8608 Å, b = 2.9527 Å, c = 7.7553 Å
α = 90.00°, β = 90.08°, γ = 90.00°
Fractional positions:
Li  0.9996  0.0000  0.1782
Li  0.0004  0.0000  0.8218
Li  0.4996  0.5000  0.3088
Li  0.5004  0.5000  0.6912
Ag  0.5000  0.0000  0.0000
Hg  0.0000  0.5000  0.5000

---

Simulated powder diffractogram
Compound: Tm3Zr2Bi3
Radiation: CuKα
Structure: DFT lattice parameters and positions (PBE)
Intensities are scaled so that the largest is 100.

Most intense lines, 2θ from 5° to 70°, in order of falling intensity:
2θ (°)  d_spacing  intensity
34.05  2.633  100
35.76  2.511  49
34.81  2.577  36
29.41  3.037  30
55.19  1.664  26
44.83  2.022  21
19.89  4.463  16
30.60  2.922  16

a = 8.9269 Å, b = 8.9269 Å, c = 6.0739 Å
α = 90.00°, β = 90.00°, γ = 120.00°
Fractional positions:
Tm  0.0000  0.2482  0.2500
Tm  0.0000  0.7518  0.7500
Tm  0.2482  0.0000  0.2500
Tm  0.2482  0.2482  0.7500
Tm  0.7518  0.0000  0.7500
Tm  0.7518  0.7518  0.2500
Zr  0.3333  0.6667  0.0000
Zr  0.3333  0.6667  0.5000
Zr  0.6667  0.3333  0.0000
Zr  0.6667  0.3333  0.5000
Bi  0.0000  0.3919  0.7500
Bi  0.0000  0.6081  0.2500
Bi  0.3919  0.0000  0.7500
Bi  0.3919  0.3919  0.2500
Bi  0.6081  0.0000  0.2500
Bi  0.6081  0.6081  0.7500